Diffraction record for NdSm3Tl4Te8. The X-ray diffraction stick pattern is computed, not measured: it uses the PBE geometry in Alexandria and Cu Kα (λ = 1.5418 Å).
No peak broadening, texture or thermal motion is included.

Principal peaks in the range 2θ = 10–90°, by angle:
| 2theta | I (rel.) |
| --- | --- |
| 26.95 | 100 |
| 37.19 | 39 |
| 39.74 | 37 |
| 48.67 | 20 |
| 55.56 | 12 |
| 61.01 | 16 |
| 64.58 | 17 |
| 70.45 | 12 |

Structure:
Unit cell a=9.0726 b=9.0726 c=24.5391 alpha=90.00 beta=90.00 gamma=120.00
Space group R-3m (No. 166, hexagonal axes)
Inequivalent atoms, fractional coordinates:
Nd (0.0000, 0.0000, 0.0000) (multiplicity 3)
Sm (0.0000, 0.5000, 0.0000) (multiplicity 9)
Tl (0.0000, 0.0000, 0.5000) (multiplicity 3)
Tl (0.0000, 0.5000, 0.5000) (multiplicity 9)
Te (0.0000, 0.0000, 0.2608) (multiplicity 6)
Te (0.0025, 0.5013, 0.2603) (multiplicity 18)